The following is a calculated powder diffraction line list of Mn3Co3Te2O16. It was derived from a DFT-relaxed cell (GGA+U, Alexandria), using Cu Kα.
Neutral-atom scattering factors, no anomalous dispersion.

Cell and atoms:
Cell lengths 5.862, 5.863, 9.232 Å; angles 88.36, 89.74, 60.24 degrees
Sites, in units of the cell vectors:
Mn1 0.000 0.000 0.000
Mn2 0.006 0.494 0.006
Mn3 0.812 0.841 0.504
Co1 0.317 0.332 0.490
Co2 0.320 0.836 0.512
Co3 0.513 0.489 0.003
Te1 0.502 0.993 0.226
Te2 0.811 0.338 0.727
O1 0.122 0.158 0.861
O2 0.152 0.679 0.417
O3 0.167 0.670 0.913
O4 0.204 0.132 0.363
O5 0.342 0.827 0.113
O6 0.343 0.329 0.123
O7 0.484 0.500 0.619
O8 0.487 0.995 0.602
O9 0.650 0.138 0.371
O10 0.664 0.697 0.372
O11 0.674 0.621 0.871
O12 0.676 0.184 0.884
O13 0.827 0.843 0.119
O14 0.844 0.315 0.101
O15 0.964 0.014 0.618
O16 0.976 0.500 0.617

Top 6 peaks for 2θ = 5–70°, sorted by position:
2θ/deg, I (rel.)
19.67, 50
19.82, 100
20.02, 46
20.16, 96
36.58, 51
63.49, 41